Starting from a DFT-relaxed cell (GGA+U, Alexandria), the X-ray diffraction stick pattern of Pa3Co5O16 was calculated for a wavelength of 1.5418 Å.

Peak list (12 most intense, 10° ≤ 2θ ≤ 90°, in order of rising 2θ)
| 2θ/deg | intensity |
| --- | --- |
| 16.8 | 329 |
| 18.1 | 167 |
| 18.5 | 286 |
| 20.0 | 1000 |
| 25.6 | 283 |
| 27.6 | 274 |
| 30.8 | 170 |
| 32.2 | 387 |
| 32.7 | 460 |
| 37.5 | 170 |
| 43.1 | 263 |
| 58.8 | 172 |

abc: 6.327 6.327 8.892
angles: 92.21 92.21 66.48
Atoms (fractional coordinates):
1 Pa 0.000 0.000 0.000
2 Pa 0.330 0.825 0.526
3 Pa 0.825 0.330 0.526
4 Co 0.328 0.328 0.526
5 Co 0.500 0.500 0.815
6 Co 0.518 0.969 0.040
7 Co 0.823 0.823 0.306
8 Co 0.969 0.518 0.040
9 O 0.007 0.500 0.422
10 O 0.092 0.693 0.150
11 O 0.161 0.161 0.639
12 O 0.178 0.178 0.107
13 O 0.232 0.612 0.667
14 O 0.368 0.821 0.923
15 O 0.377 0.377 0.925
16 O 0.491 0.491 0.410
17 O 0.500 0.007 0.422
18 O 0.612 0.232 0.667
19 O 0.636 0.636 0.669
20 O 0.689 0.689 0.170
21 O 0.693 0.092 0.150
22 O 0.814 0.814 0.915
23 O 0.821 0.368 0.923
24 O 0.981 0.981 0.416